Diffraction record for CaHf8N8O4. The powder diffraction line list is theoretical, not measured: it uses a structure optimized by DFT (PBE) and Cu Kα (λ = 1.5418 Å).

Lattice parameters (Å, degrees): 5.464 5.542 10.691 89.16 75.31 60.73
Space group P1 (No. 1)
Symmetry-distinct sites (fractional):
Ca: 0.000 0.000 0.000 [1 per cell]
Hf: 0.197 0.890 0.740 [1 per cell]
Hf: 0.198 0.385 0.273 [1 per cell]
Hf: 0.372 0.328 0.960 [1 per cell]
Hf: 0.386 0.794 0.457 [1 per cell]
Hf: 0.649 0.676 0.038 [1 per cell]
Hf: 0.658 0.191 0.542 [1 per cell]
Hf: 0.854 0.050 0.260 [1 per cell]
Hf: 0.893 0.523 0.721 [1 per cell]
N: 0.053 0.625 0.875 [1 per cell]
N: 0.069 0.110 0.381 [1 per cell]
N: 0.259 0.656 0.119 [1 per cell]
N: 0.270 0.168 0.619 [1 per cell]
N: 0.463 0.400 0.381 [1 per cell]
N: 0.556 0.053 0.129 [1 per cell]
N: 0.578 0.564 0.619 [1 per cell]
N: 0.758 0.308 0.865 [1 per cell]
O: 0.441 0.932 0.880 [1 per cell]
O: 0.782 0.768 0.369 [1 per cell]
O: 0.933 0.364 0.129 [1 per cell]
O: 0.970 0.844 0.617 [1 per cell]

Peak list (10 most intense, 2θ from 10° to 80°, low angle first)
22.10°, d 4.022, intensity 54
29.62°, d 3.016, intensity 71
29.74°, d 3.004, intensity 74
30.08°, d 2.971, intensity 62
32.19°, d 2.781, intensity 100
32.32°, d 2.770, intensity 99
32.78°, d 2.732, intensity 99
34.97°, d 2.565, intensity 55
45.08°, d 2.011, intensity 46
48.91°, d 1.862, intensity 44